1.
This entry pairs a crystal structure of GeH5I2 with its calculated powder X-ray diffraction pattern. Radiation: Cu Kα X-rays. Structure: DFT lattice parameters and positions (PBE).
Lines closer than 0.1° are merged.

Atomic structure:
Lattice parameters (Å, degrees): 14.5563 5.0565 5.2497 90.00 103.48 90.00
Space group Cm (No. 8)
Unique sites:
Ge 0.0000 0.0000 0.0000 [2 per cell]
H 0.0178 0.0000 0.7259 [2 per cell]
H 0.3517 0.4258 0.4167 [4 per cell]
H 0.4540 0.2475 0.0725 [4 per cell]
I 0.1672 0.0000 0.3080 [2 per cell]
I 0.1761 0.5000 0.8094 [2 per cell]

Principal peaks in the range 2θ = 10–80°, in order of rising 2θ:
(hkl)	2θ/deg	d [Å]	Rel. int.
2 0 0	12.51	7.078	100.0
1 1 -1	24.54	3.627	85.0
4 0 0	25.17	3.539	23.6
1 1 1	26.58	3.353	24.0
3 1 -1	28.66	3.115	51.1
3 1 1	33.75	2.656	35.6
0 2 0	35.51	2.528	19.0
6 0 0	38.15	2.359	15.5
5 1 1	43.84	2.065	16.5
7 1 -1	47.86	1.901	15.5



2.
This entry pairs a crystal structure of MnNbGeHI with its calculated powder X-ray diffraction pattern. Radiation: Cu Kα X-rays. Structure: DFT lattice parameters and positions (PBE).
Lines closer than 0.1° are merged.

Atomic structure:
Lattice parameters (Å, degrees): 7.2494 4.0578 6.9834 90.00 117.41 90.00
Space group Cm (No. 8)
Unique sites:
Mn 0.0000 0.0000 0.0000 [2 per cell]
Nb 0.4396 0.0000 0.1703 [2 per cell]
Ge 0.1585 0.5000 0.9545 [2 per cell]
H 0.0705 0.0000 0.2518 [2 per cell]
I 0.3566 0.5000 0.5460 [2 per cell]

Principal peaks in the range 2θ = 10–80°, in order of rising 2θ:
(hkl)	2θ/deg	d [Å]	Rel. int.
1 1 0	25.96	3.432	39.5
1 1 -1	26.41	3.374	47.1
0 0 2	28.80	3.100	39.8
2 0 -2	29.40	3.038	37.9
1 1 1	32.78	2.732	45.1
1 1 -2	33.87	2.646	52.3
2 0 1	36.93	2.434	34.3
3 1 -1	43.87	2.064	100.0
0 2 0	44.67	2.028	41.3
3 1 -3	50.35	1.812	30.2



3.
This entry pairs a crystal structure of GeH4I3N with its calculated powder X-ray diffraction pattern. Radiation: Cu Kα X-rays. Structure: DFT lattice parameters and positions (PBE).
Lines closer than 0.1° are merged.

Atomic structure:
Lattice parameters (Å, degrees): 10.6397 4.4845 17.0829 90.00 90.00 90.00
Space group Pnma (No. 62)
Unique sites:
Ge 0.1545 0.2500 0.0630 [4 per cell]
H 0.0035 0.7500 0.3762 [4 per cell]
H 0.0438 0.2500 0.7178 [4 per cell]
H 0.0891 0.5646 0.3055 [8 per cell]
I 0.0304 0.2500 0.8968 [4 per cell]
I 0.1695 0.2500 0.5092 [4 per cell]
I 0.2473 0.7500 0.7244 [4 per cell]
N 0.0341 0.7500 0.3184 [4 per cell]

Principal peaks in the range 2θ = 10–80°, in order of rising 2θ:
(hkl)	2θ/deg	d [Å]	Rel. int.
0 1 3	25.28	3.523	36.7
2 1 0	25.99	3.429	50.9
2 1 1	26.51	3.362	100.0
1 1 3	26.65	3.345	50.7
2 0 4	26.77	3.330	74.1
1 0 5	27.42	3.253	45.0
2 1 2	28.04	3.182	57.2
0 2 0	40.22	2.242	37.6
4 1 3	42.58	2.123	35.8
1 1 7	43.05	2.101	43.7



4.
This entry pairs a crystal structure of GeH4I3N with its calculated powder X-ray diffraction pattern. Radiation: Cu Kα X-rays. Structure: DFT lattice parameters and positions (PBE).
Lines closer than 0.1° are merged.

Atomic structure:
Lattice parameters (Å, degrees): 8.3351 7.5380 14.4301 90.00 90.00 90.00
Space group P2_1 (No. 4)
Unique sites:
Ge 0.0003 0.0000 0.0000 [2 per cell]
Ge 0.4995 0.0142 0.5000 [2 per cell]
H 0.0013 0.9829 0.6682 [2 per cell]
H 0.0526 0.7978 0.7267 [2 per cell]
H 0.0646 0.8037 0.6082 [2 per cell]
H 0.1190 0.3033 0.3384 [2 per cell]
H 0.3818 0.7962 0.1639 [2 per cell]
H 0.4347 0.2962 0.8894 [2 per cell]
H 0.4464 0.3015 0.7710 [2 per cell]
H 0.4982 0.9793 0.1654 [2 per cell]
I 0.0791 0.7242 0.1598 [2 per cell]
I 0.1992 0.7241 0.8801 [2 per cell]
I 0.2220 0.7379 0.4577 [2 per cell]
I 0.2795 0.2234 0.0400 [2 per cell]
I 0.2968 0.2371 0.6180 [2 per cell]
I 0.4236 0.2370 0.3397 [2 per cell]
N 0.0001 0.3461 0.3339 [2 per cell]
N 0.5002 0.3425 0.8327 [2 per cell]

Principal peaks in the range 2θ = 10–80°, in order of rising 2θ:
(hkl)	2θ/deg	d [Å]	Rel. int.
1 0 1	12.26	7.217	83.4
0 2 0	23.61	3.769	35.1
1 1 3	24.41	3.647	100.0
2 1 -2	27.40	3.255	83.9
2 2 0	32.02	2.795	48.2
2 2 2	34.41	2.606	38.0
3 1 1	34.98	2.565	25.3
3 2 1	40.84	2.210	23.7
3 0 5	45.31	2.002	38.4
3 2 5	51.71	1.768	36.6



5.
This entry pairs a crystal structure of In2GeTeH with its calculated powder X-ray diffraction pattern. Radiation: Cu Kα X-rays. Structure: DFT lattice parameters and positions (PBE).
Lines closer than 0.1° are merged.

Atomic structure:
Lattice parameters (Å, degrees): 5.4840 5.4840 3.8208 90.00 90.00 90.00
Space group P4/mmm (No. 123)
Unique sites:
In 0.0000 0.5000 0.0000 [2 per cell]
Ge 0.0000 0.0000 0.0000 [1 per cell]
Te 0.5000 0.5000 0.5000 [1 per cell]
H 0.0000 0.0000 0.5000 [1 per cell]

Principal peaks in the range 2θ = 10–80°, in order of rising 2θ:
(hkl)	2θ/deg	d [Å]	Rel. int.
0 0 1	23.28	3.821	21.2
1 0 1	28.47	3.135	59.2
2 0 0	32.66	2.742	100.0
1 1 1	32.91	2.722	83.5
2 0 1	40.49	2.228	19.8
2 1 1	43.87	2.064	36.4
2 2 0	46.86	1.939	35.8
3 1 1	58.44	1.579	30.9
2 0 2	58.92	1.567	35.5
2 2 2	69.01	1.361	21.8



6.
This entry pairs a crystal structure of GeHIr2 with its calculated powder X-ray diffraction pattern. Radiation: Cu Kα X-rays. Structure: DFT lattice parameters and positions (PBE).
Lines closer than 0.1° are merged.

Atomic structure:
Lattice parameters (Å, degrees): 5.0712 5.0712 8.3358 90.00 90.00 90.00
Space group I-42d (No. 122)
Unique sites:
Ge 0.0000 0.0000 0.0000 [4 per cell]
H 0.0000 0.0000 0.5000 [4 per cell]
Ir 0.1354 0.2500 0.6250 [8 per cell]

Principal peaks in the range 2θ = 10–80°, in order of rising 2θ:
(hkl)	2θ/deg	d [Å]	Rel. int.
1 0 1	20.50	4.332	19.3
1 1 2	32.95	2.718	100.0
1 0 3	36.89	2.437	26.8
2 1 1	41.25	2.188	83.5
2 0 2	41.69	2.166	16.5
2 1 3	52.05	1.757	26.1
2 0 4	57.22	1.610	20.3
3 1 0	57.47	1.604	14.7
3 2 1	67.54	1.387	13.8
3 2 3	75.81	1.255	16.9



7.
This entry pairs a crystal structure of La2Ge2H4Ir with its calculated powder X-ray diffraction pattern. Radiation: Cu Kα X-rays. Structure: DFT lattice parameters and positions (PBE).
Lines closer than 0.1° are merged.

Atomic structure:
Lattice parameters (Å, degrees): 6.0177 6.0177 7.6247 90.00 90.00 90.00
Space group I4/mmm (No. 139)
Unique sites:
La 0.0000 0.5000 0.2500 [4 per cell]
Ge 0.0000 0.0000 0.1626 [4 per cell]
H 0.2004 0.2004 0.5000 [8 per cell]
Ir 0.0000 0.0000 0.5000 [2 per cell]

Principal peaks in the range 2θ = 10–80°, in order of rising 2θ:
(hkl)	2θ/deg	d [Å]	Rel. int.
1 0 1	18.79	4.724	20.1
2 0 0	29.69	3.009	100.0
1 1 2	31.51	2.839	71.9
1 0 3	38.45	2.341	31.5
2 2 0	42.49	2.128	38.8
2 1 3	49.32	1.848	30.4
3 1 2	53.84	1.703	31.8
4 0 0	61.65	1.504	12.7
4 2 0	69.90	1.346	20.0
1 1 6	78.56	1.218	12.5



8.
This entry pairs a crystal structure of Th2GeHIr6 with its calculated powder X-ray diffraction pattern. Radiation: Cu Kα X-rays. Structure: DFT lattice parameters and positions (PBE).
Lines closer than 0.1° are merged.

Atomic structure:
Lattice parameters (Å, degrees): 5.8899 6.7012 8.6105 90.00 90.00 90.00
Space group Immm (No. 71)
Unique sites:
Th 0.0000 0.0000 0.2304 [4 per cell]
Ge 0.0000 0.5000 0.5000 [2 per cell]
H 0.0000 0.5000 0.0000 [2 per cell]
Ir 0.0000 0.5000 0.2231 [4 per cell]
Ir 0.2497 0.2115 0.5000 [8 per cell]

Principal peaks in the range 2θ = 10–80°, in order of rising 2θ:
(hkl)	2θ/deg	d [Å]	Rel. int.
0 2 2	33.90	2.644	100.0
2 0 2	36.98	2.431	89.3
2 2 0	40.79	2.212	78.1
0 0 4	41.97	2.153	33.8
0 4 0	54.80	1.675	12.0
2 2 4	59.96	1.543	42.7
4 0 0	63.14	1.472	12.2
2 4 2	67.96	1.379	18.9
4 2 2	73.63	1.286	22.1
4 0 4	78.75	1.215	12.9